Diffraction record for Tb5PuIr4. The powder diffractogram is computed, not measured: it uses DFT lattice parameters and positions (PBE) and Cu Kα (weighted mean of Kα1 and Kα2).
Lines closer than 0.1° are merged.

Atomic structure:
```
Tb5PuIr4
1.0
9.1078 -2.1062 0.0000
9.1078 2.1062 0.0000
-2.9789 0.0000 6.7495
Tb Pu Ir
5 1 4
Direct
0.0000 0.0000 0.0000
0.3339 0.3339 0.0894
0.3339 0.3339 0.5782
0.6661 0.6661 0.4218
0.6661 0.6661 0.9106
0.0000 0.0000 0.5000
0.1974 0.1974 0.6975
0.5000 0.5000 0.2608
0.5000 0.5000 0.7392
0.8026 0.8026 0.3025
```

Largest 10 diffraction maxima, most intense first, 2θ = 15–90°:
32.7 deg, I = 100; 42.4 deg, I = 72; 32.2 deg, I = 43; 42.9 deg, I = 26; 54.7 deg, I = 20; 49.4 deg, I = 17; 67.5 deg, I = 16; 21.3 deg, I = 14; 76.8 deg, I = 14; 26.6 deg, I = 13